1.
Computed powder XRD pattern of U2PbS5 for Cu Kα, 1.54184 Å, from DFT lattice parameters and positions (PBE).
Neutral-atom scattering factors, no anomalous dispersion.

The 10 most intense peaks (10 to 90 degrees two-theta), sorted by position:
2θ = 23.91°, d = 3.721 Å, I = 38.5
2θ = 25.84°, d = 3.447 Å, I = 100.0
2θ = 25.94°, d = 3.435 Å, I = 32.5
2θ = 26.46°, d = 3.368 Å, I = 27.0
2θ = 26.58°, d = 3.354 Å, I = 20.6
2θ = 36.00°, d = 2.495 Å, I = 46.0
2θ = 43.26°, d = 2.091 Å, I = 20.6
2θ = 44.06°, d = 2.055 Å, I = 17.2
2θ = 46.26°, d = 1.962 Å, I = 18.0
2θ = 46.44°, d = 1.955 Å, I = 15.6

Cell and atoms:
```
32
Lattice="8.2218 0.0000 0.0000 0.0000 7.4426 0.0000 -0.0530 0.0000 11.6757" Properties=species:S:1:pos:R:3 pbc="T T T"
U -0.0019 0.1472 3.7191
U -0.0284 3.5741 9.5570
U 1.9754 4.2827 5.7565
U 1.9489 6.8811 11.5943
U 6.2199 0.5615 0.0813
U 6.1934 3.1598 5.9192
U 8.1971 3.8685 2.1187
U 8.1706 7.2954 7.9566
Pb 4.0143 3.8159 2.0609
Pb 3.9878 7.3479 7.8987
Pb 4.1810 0.0946 3.7769
Pb 4.1545 3.6266 9.6148
S 0.3885 1.2209 1.1455
S 0.3620 2.5004 6.9834
S 1.7191 4.0727 11.6610
S 1.7456 7.0911 5.8231
S 1.7578 1.2228 9.5251
S 1.7844 2.4985 3.6873
S 1.8471 5.1789 8.3719
S 1.8736 5.9849 2.5341
S 3.7942 1.1889 1.0140
S 3.7677 2.5324 6.8519
S 4.4011 4.9102 4.8238
S 4.3746 6.2536 10.6616
S 6.2952 1.4576 9.1416
S 6.3217 2.2636 3.3038
S 6.3844 4.9440 7.9884
S 6.4109 6.2198 2.1506
S 6.4232 0.3515 5.8526
S 6.4497 3.3698 0.0147
S 7.8068 4.9421 4.6923
S 7.7803 6.2217 10.5302
```


2.
Computed powder XRD pattern of Li2CdGeSe4 for Cu Kα, 1.54184 Å, from DFT lattice parameters and positions (PBE).
Neutral-atom scattering factors, no anomalous dispersion.

The 10 most intense peaks (10 to 90 degrees two-theta), sorted by position:
2θ = 17.95°, d = 4.942 Å, I = 45.8
2θ = 24.64°, d = 3.613 Å, I = 100.0
2θ = 24.85°, d = 3.583 Å, I = 56.1
2θ = 26.31°, d = 3.387 Å, I = 91.4
2θ = 27.99°, d = 3.188 Å, I = 84.2
2θ = 28.17°, d = 3.167 Å, I = 44.5
2θ = 43.26°, d = 2.091 Å, I = 45.4
2θ = 43.63°, d = 2.074 Å, I = 82.3
2θ = 47.48°, d = 1.915 Å, I = 90.1
2θ = 51.67°, d = 1.769 Å, I = 49.6

Cell and atoms:
```
32
Lattice="14.3333 0.0000 0.0000 0.0000 8.3656 0.0000 0.0000 0.0000 6.7743" Properties=species:S:1:pos:R:3 pbc="T T T"
Li 1.0885 2.0646 0.0000
Li 2.3178 0.0376 3.3151
Li 4.8488 4.2204 6.7023
Li 6.0782 6.2474 3.3871
Li 8.2551 2.1182 0.0000
Li 9.4844 4.1452 3.3151
Li 12.0155 8.3281 6.7023
Li 13.2448 6.3011 3.3871
Cd 2.2980 4.1205 3.3061
Cd 4.8687 8.3033 6.6932
Cd 9.4646 0.0623 3.3061
Cd 12.0353 4.2452 6.6932
Ge 1.2613 6.2494 6.7150
Ge 5.9053 2.0666 3.3278
Ge 8.4279 6.2991 6.7150
Ge 13.0719 2.1162 3.3278
Se 0.9606 1.9992 4.1989
Se 1.2679 6.3466 4.3276
Se 2.3210 8.2291 0.7674
Se 2.3855 4.2519 0.6292
Se 4.7812 0.0691 4.0163
Se 4.8456 4.0463 4.1545
Se 5.8987 2.1638 0.9405
Se 6.2060 6.1821 0.8118
Se 8.1272 2.1836 4.1989
Se 8.4345 6.2019 4.3276
Se 9.4877 4.3194 0.7674
Se 9.5521 8.2965 0.6292
Se 11.9478 4.1137 4.0163
Se 12.0122 0.1366 4.1545
Se 13.0653 2.0190 0.9405
Se 13.3727 6.3664 0.8118
```


3.
Computed powder XRD pattern of HfPdS3 for Cu Kα, 1.54184 Å, from DFT lattice parameters and positions (PBE).
Neutral-atom scattering factors, no anomalous dispersion.

The 10 most intense peaks (10 to 90 degrees two-theta), sorted by position:
2θ = 12.20°, d = 7.253 Å, I = 37.0
2θ = 17.62°, d = 5.033 Å, I = 100.0
2θ = 19.60°, d = 4.529 Å, I = 31.0
2θ = 25.01°, d = 3.560 Å, I = 29.7
2θ = 29.44°, d = 3.034 Å, I = 88.7
2θ = 29.65°, d = 3.013 Å, I = 48.9
2θ = 31.15°, d = 2.871 Å, I = 42.0
2θ = 40.00°, d = 2.254 Å, I = 44.7
2θ = 44.63°, d = 2.030 Å, I = 28.9
2θ = 48.05°, d = 1.893 Å, I = 28.4

Cell and atoms:
```
20
Lattice="9.0588 0.0000 0.0000 0.0000 4.0866 0.0000 0.0000 0.0000 12.1069" Properties=species:S:1:pos:R:3 pbc="T T T"
Hf 1.6048 1.0217 0.8307
Hf 2.9246 3.0650 6.8841
Hf 6.1342 1.0217 5.2228
Hf 7.4540 3.0650 11.2762
Pd 1.2099 1.0217 8.6006
Pd 3.3195 3.0650 2.5471
Pd 5.7393 1.0217 9.5598
Pd 7.8489 3.0650 3.5063
S 0.1331 1.0217 10.7318
S 1.6165 1.0217 6.2320
S 2.1156 3.0650 9.1566
S 2.4138 1.0217 3.1032
S 2.9129 3.0650 0.1785
S 4.3963 3.0650 4.6783
S 4.6625 1.0217 7.4285
S 6.1459 1.0217 11.9284
S 6.6450 3.0650 9.0037
S 6.9432 1.0217 2.9503
S 7.4423 3.0650 5.8749
S 8.9257 3.0650 1.3751
```


4.
Computed powder XRD pattern of Y2Hf4Cu3N3 for Cu Kα, 1.54184 Å, from DFT lattice parameters and positions (PBE).
Neutral-atom scattering factors, no anomalous dispersion.

The 10 most intense peaks (10 to 90 degrees two-theta), sorted by position:
2θ = 12.87°, d = 6.878 Å, I = 15.8
2θ = 18.33°, d = 4.840 Å, I = 14.5
2θ = 31.81°, d = 2.813 Å, I = 26.6
2θ = 32.45°, d = 2.759 Å, I = 28.8
2θ = 32.55°, d = 2.751 Å, I = 12.3
2θ = 37.43°, d = 2.402 Å, I = 100.0
2θ = 37.64°, d = 2.390 Å, I = 47.5
2θ = 39.30°, d = 2.293 Å, I = 27.6
2θ = 56.63°, d = 1.625 Å, I = 16.9
2θ = 69.84°, d = 1.347 Å, I = 12.3

Cell and atoms:
```
24
Lattice="4.8673 -2.8171 0.0000 4.8673 2.8171 0.0000 -3.3560 0.0000 13.7565" Properties=species:S:1:pos:R:3 pbc="T T T"
Y 2.3874 2.3496 8.5203
Y 2.3132 2.3496 12.1144
Y 4.0654 -2.3496 1.6421
Y 3.9913 -2.3496 5.2362
Hf 2.3889 0.4571 1.1911
Hf 2.3896 0.5150 5.6875
Hf 0.7108 -0.4571 8.0693
Hf 0.7116 -0.5150 12.5657
Hf 5.6670 0.5150 1.1908
Hf 5.6678 0.4571 5.6872
Hf 3.9890 -0.5150 8.0690
Hf 3.9898 -0.4571 12.5655
Cu -0.1538 0.8869 10.3250
Cu 1.5242 -0.8869 3.4467
Cu 4.0283 0.4075 3.4391
Cu 2.3503 -0.4075 10.3174
Cu 4.8545 0.8869 10.3098
Cu 6.5325 -0.8869 3.4315
N 0.7557 1.4086 6.8783
N 4.0308 1.3661 0.0000
N 4.0258 1.3661 6.8783
N 2.4337 -1.4086 0.0000
N 2.3528 -1.3661 6.8783
N 5.7039 -1.3661 0.0000
```


5.
Computed powder XRD pattern of DyH3 for Cu Kα, 1.54184 Å, from DFT lattice parameters and positions (PBE).
Neutral-atom scattering factors, no anomalous dispersion.

The 10 most intense peaks (10 to 90 degrees two-theta), sorted by position:
2θ = 27.43°, d = 3.251 Å, I = 32.9
2θ = 28.37°, d = 3.146 Å, I = 22.5
2θ = 31.59°, d = 2.832 Å, I = 100.0
2θ = 39.88°, d = 2.261 Å, I = 17.4
2θ = 50.23°, d = 1.816 Å, I = 19.5
2θ = 51.18°, d = 1.785 Å, I = 27.3
2θ = 58.18°, d = 1.586 Å, I = 24.2
2θ = 60.56°, d = 1.529 Å, I = 15.9
2θ = 79.06°, d = 1.211 Å, I = 9.9
2θ = 82.46°, d = 1.170 Å, I = 13.4

Cell and atoms:
```
8
Lattice="3.6327 0.0000 0.0000 -1.8163 3.1460 0.0000 0.0000 0.0000 6.5021" Properties=species:S:1:pos:R:3 pbc="T T T"
Dy 0.0000 2.0973 1.6255
Dy 1.8163 1.0487 4.8766
H 0.0000 0.0000 1.6255
H 0.0000 0.0000 4.8766
H 0.0000 2.0973 3.8643
H 0.0000 2.0973 5.8888
H 1.8163 1.0487 0.6133
H 1.8163 1.0487 2.6378
```


6.
Computed powder XRD pattern of LiAgSe for Cu Kα, 1.54184 Å, from DFT lattice parameters and positions (PBE).
Neutral-atom scattering factors, no anomalous dispersion.

The 10 most intense peaks (10 to 90 degrees two-theta), sorted by position:
2θ = 15.56°, d = 5.695 Å, I = 29.4
2θ = 19.95°, d = 4.450 Å, I = 60.0
2θ = 21.72°, d = 4.091 Å, I = 31.7
2θ = 21.97°, d = 4.046 Å, I = 100.0
2θ = 25.09°, d = 3.549 Å, I = 27.9
2θ = 34.32°, d = 2.613 Å, I = 51.6
2θ = 42.12°, d = 2.146 Å, I = 39.2
2θ = 44.28°, d = 2.045 Å, I = 21.3
2θ = 45.25°, d = 2.004 Å, I = 33.0
2θ = 51.50°, d = 1.774 Å, I = 23.3

Cell and atoms:
```
6
Lattice="4.6045 0.0000 0.0000 0.0000 5.8805 0.0000 -1.5114 0.0000 5.6948" Properties=species:S:1:pos:R:3 pbc="T T T"
Li 0.9636 0.0000 0.1725
Li 2.1296 2.9402 5.5223
Ag -0.7008 5.0629 2.8405
Ag 3.7940 2.1226 2.8542
Se -0.1812 3.5780 4.7876
Se 3.2743 0.6378 0.9072
```